This entry pairs a crystal structure of DyGa6 with its computed XRD peak list. Radiation: Cu Kα. Structure: the PBE geometry in the Materials Project.

Main lines, low angle first (2θ = 10–90°):
d (Å)  2θ/deg  I (rel.)
2.830  31.6  34
2.795  32.0  100
2.535  35.4  24
2.356  38.2  14
2.194  41.2  21
2.172  41.6  42
2.127  42.5  39
1.700  53.9  22
1.343  70.1  15
1.236  77.1  15

Atomic structure:
```
data_DyGa6
_space_group_name_H-M_alt 'P 1'
_space_group_IT_number 1
_space_group_name_Hall 'P 1'
_cell_length_a 6.0147
_cell_length_b 6.0147
_cell_length_c 7.5808
_cell_angle_alpha 90.00
_cell_angle_beta 90.00
_cell_angle_gamma 90.00
loop_
_atom_site_label
_atom_site_type_symbol
_atom_site_fract_x
_atom_site_fract_y
_atom_site_fract_z
_atom_site_occupancy
Dy1 Dy 0.2500 0.7500 0.0000 1
Dy2 Dy 0.7500 0.2500 0.0000 1
Ga1 Ga 0.0557 0.5557 0.3471 1
Ga2 Ga 0.0557 0.9443 0.6529 1
Ga3 Ga 0.2500 0.2500 0.1602 1
Ga4 Ga 0.2500 0.2500 0.8398 1
Ga5 Ga 0.4443 0.5557 0.6529 1
Ga6 Ga 0.4443 0.9443 0.3471 1
Ga7 Ga 0.5557 0.0557 0.6529 1
Ga8 Ga 0.5557 0.4443 0.3471 1
Ga9 Ga 0.7500 0.7500 0.1602 1
Ga10 Ga 0.7500 0.7500 0.8398 1
Ga11 Ga 0.9443 0.0557 0.3471 1
Ga12 Ga 0.9443 0.4443 0.6529 1
```

---

This entry pairs a crystal structure of Mg4AlB10 with its computed XRD peak list. Radiation: Cu Kα. Structure: the PBE geometry in the Materials Project.

Main lines, low angle first (2θ = 10–90°):
d (Å)  2θ/deg  I (rel.)
3.452  25.8  4
2.659  33.7  29
2.106  42.9  100
1.726  53.1  12
1.535  60.3  25
1.448  64.4  10
1.403  66.7  4
1.329  70.9  4
1.240  76.8  16
1.147  84.5  18

Atomic structure:
```
data_Mg4AlB10
_space_group_name_H-M_alt 'P 1'
_space_group_IT_number 1
_space_group_name_Hall 'P 1'
_cell_length_a 3.0698
_cell_length_b 3.0698
_cell_length_c 17.2591
_cell_angle_alpha 90.00
_cell_angle_beta 90.00
_cell_angle_gamma 120.00
loop_
_atom_site_label
_atom_site_type_symbol
_atom_site_fract_x
_atom_site_fract_y
_atom_site_fract_z
_atom_site_occupancy
Mg1 Mg 0.0000 0.0000 0.1001 1
Mg2 Mg 0.0000 0.0000 0.3010 1
Mg3 Mg 0.0000 0.0000 0.6990 1
Mg4 Mg 0.0000 0.0000 0.8999 1
Al1 Al 0.0000 0.0000 0.5000 1
B1 B 0.3333 0.6667 0.0000 1
B2 B 0.3333 0.6667 0.2013 1
B3 B 0.3333 0.6667 0.4084 1
B4 B 0.3333 0.6667 0.5916 1
B5 B 0.3333 0.6667 0.7987 1
B6 B 0.6667 0.3333 0.0000 1
B7 B 0.6667 0.3333 0.2013 1
B8 B 0.6667 0.3333 0.4084 1
B9 B 0.6667 0.3333 0.5916 1
B10 B 0.6667 0.3333 0.7987 1
```

---

This entry pairs a crystal structure of Ac2AgPb with its computed XRD peak list. Radiation: Cu Kα. Structure: the PBE geometry in the Materials Project.

Main lines, low angle first (2θ = 10–90°):
d (Å)  2θ/deg  I (rel.)
4.724  18.8  3
4.091  21.7  3
2.893  30.9  100
2.467  36.4  2
2.046  44.3  19
1.670  55.0  40
1.446  64.4  13
1.294  73.2  17
1.181  81.5  4
1.093  89.7  22

Atomic structure:
```
data_Ac2AgPb
_space_group_name_H-M_alt 'P 1'
_space_group_IT_number 1
_space_group_name_Hall 'P 1'
_cell_length_a 5.7857
_cell_length_b 5.7857
_cell_length_c 5.7857
_cell_angle_alpha 60.00
_cell_angle_beta 60.00
_cell_angle_gamma 60.00
loop_
_atom_site_label
_atom_site_type_symbol
_atom_site_fract_x
_atom_site_fract_y
_atom_site_fract_z
_atom_site_occupancy
Ac1 Ac 0.2500 0.2500 0.2500 1
Ac2 Ac 0.7500 0.7500 0.7500 1
Ag1 Ag 0.0000 0.0000 0.0000 1
Pb1 Pb 0.5000 0.5000 0.5000 1
```

---

This entry pairs a crystal structure of SmCl3 with its computed XRD peak list. Radiation: Cu Kα. Structure: the PBE geometry in the Materials Project.

Main lines, low angle first (2θ = 10–90°):
d (Å)  2θ/deg  I (rel.)
8.325  10.6  100
4.806  18.5  67
4.162  21.3  37
3.401  26.2  16
2.776  32.2  74
2.404  37.4  63
2.309  39.0  12
1.963  46.3  31
1.817  50.2  28
1.388  67.5  15

Atomic structure:
```
data_SmCl3
_space_group_name_H-M_alt 'P 1'
_space_group_IT_number 1
_space_group_name_Hall 'P 1'
_cell_length_a 9.6128
_cell_length_b 9.6128
_cell_length_c 3.7267
_cell_angle_alpha 90.00
_cell_angle_beta 90.00
_cell_angle_gamma 120.00
loop_
_atom_site_label
_atom_site_type_symbol
_atom_site_fract_x
_atom_site_fract_y
_atom_site_fract_z
_atom_site_occupancy
Sm1 Sm 0.3333 0.6667 0.2500 1
Sm2 Sm 0.6667 0.3333 0.7500 1
Cl1 Cl 0.2124 0.4248 0.7500 1
Cl2 Cl 0.2124 0.7876 0.7500 1
Cl3 Cl 0.4248 0.2124 0.2500 1
Cl4 Cl 0.5752 0.7876 0.7500 1
Cl5 Cl 0.7876 0.2124 0.2500 1
Cl6 Cl 0.7876 0.5752 0.2500 1
```

---

This entry pairs a crystal structure of Cs2NaLuCl6 with its computed XRD peak list. Radiation: Cu Kα. Structure: the PBE geometry in the Materials Project.

Main lines, low angle first (2θ = 10–90°):
d (Å)  2θ/deg  I (rel.)
6.246  14.2  37
3.825  23.3  100
3.262  27.3  19
3.123  28.6  22
2.705  33.1  62
2.208  40.9  46
1.913  47.5  42
1.711  53.6  22
1.446  64.4  25
1.210  79.2  18

Atomic structure:
```
data_Cs2NaLuCl6
_space_group_name_H-M_alt 'P 1'
_space_group_IT_number 1
_space_group_name_Hall 'P 1'
_cell_length_a 7.6501
_cell_length_b 7.6501
_cell_length_c 7.6501
_cell_angle_alpha 60.00
_cell_angle_beta 60.00
_cell_angle_gamma 60.00
loop_
_atom_site_label
_atom_site_type_symbol
_atom_site_fract_x
_atom_site_fract_y
_atom_site_fract_z
_atom_site_occupancy
Cs1 Cs 0.2500 0.2500 0.2500 1
Cs2 Cs 0.7500 0.7500 0.7500 1
Na1 Na 0.0000 0.0000 0.0000 1
Lu1 Lu 0.5000 0.5000 0.5000 1
Cl1 Cl 0.2606 0.2606 0.7394 1
Cl2 Cl 0.2606 0.7394 0.2606 1
Cl3 Cl 0.2606 0.7394 0.7394 1
Cl4 Cl 0.7394 0.2606 0.2606 1
Cl5 Cl 0.7394 0.2606 0.7394 1
Cl6 Cl 0.7394 0.7394 0.2606 1
```

---

This entry pairs a crystal structure of NaAsSe2 with its computed XRD peak list. Radiation: Cu Kα. Structure: the PBE geometry in the Materials Project.

Main lines, low angle first (2θ = 10–90°):
d (Å)  2θ/deg  I (rel.)
3.249  27.4  14
2.829  31.6  100
2.784  32.1  48
2.001  45.3  36
1.984  45.7  70
1.625  56.7  37
1.265  75.1  16
1.261  75.4  15
1.249  76.2  15
1.152  84.0  23

Atomic structure:
```
data_NaAsSe2
_space_group_name_H-M_alt 'P 1'
_space_group_IT_number 1
_space_group_name_Hall 'P 1'
_cell_length_a 4.0010
_cell_length_b 4.0010
_cell_length_c 5.5684
_cell_angle_alpha 90.00
_cell_angle_beta 90.00
_cell_angle_gamma 90.00
loop_
_atom_site_label
_atom_site_type_symbol
_atom_site_fract_x
_atom_site_fract_y
_atom_site_fract_z
_atom_site_occupancy
Na1 Na 0.0000 0.0000 0.0000 1
As1 As 0.5000 0.5000 0.5000 1
Se1 Se 0.0000 0.0000 0.5000 1
Se2 Se 0.5000 0.5000 0.0000 1
```

---

This entry pairs a crystal structure of KSr2Cd2Sb3 with its computed XRD peak list. Radiation: Cu Kα. Structure: the PBE geometry in the Materials Project.

Main lines, low angle first (2θ = 10–90°):
d (Å)  2θ/deg  I (rel.)
4.422  20.1  34
3.242  27.5  35
3.183  28.0  90
3.075  29.0  100
3.019  29.6  33
2.845  31.4  76
2.554  35.1  80
2.453  36.6  79
2.318  38.8  70
2.210  40.8  33

Atomic structure:
```
data_KSr2Cd2Sb3
_space_group_name_H-M_alt 'P 1'
_space_group_IT_number 1
_space_group_name_Hall 'P 1'
_cell_length_a 12.9677
_cell_length_b 4.9054
_cell_length_c 16.5758
_cell_angle_alpha 90.00
_cell_angle_beta 90.00
_cell_angle_gamma 90.00
loop_
_atom_site_label
_atom_site_type_symbol
_atom_site_fract_x
_atom_site_fract_y
_atom_site_fract_z
_atom_site_occupancy
K1 K 0.0930 0.2500 0.0420 1
K2 K 0.4070 0.7500 0.5420 1
K3 K 0.5930 0.2500 0.4580 1
K4 K 0.9070 0.7500 0.9580 1
Sr1 Sr 0.1014 0.7500 0.4227 1
Sr2 Sr 0.1369 0.2500 0.7777 1
Sr3 Sr 0.3631 0.7500 0.2777 1
Sr4 Sr 0.3986 0.2500 0.9227 1
Sr5 Sr 0.6014 0.7500 0.0773 1
Sr6 Sr 0.6369 0.2500 0.7223 1
Sr7 Sr 0.8631 0.7500 0.2223 1
Sr8 Sr 0.8986 0.2500 0.5773 1
Cd1 Cd 0.1294 0.2500 0.2774 1
Cd2 Cd 0.1998 0.2500 0.5730 1
Cd3 Cd 0.3002 0.7500 0.0730 1
Cd4 Cd 0.3706 0.7500 0.7774 1
Cd5 Cd 0.6294 0.2500 0.2226 1
Cd6 Cd 0.6998 0.2500 0.9270 1
Cd7 Cd 0.8002 0.7500 0.4270 1
Cd8 Cd 0.8706 0.7500 0.7226 1
Sb1 Sb 0.0799 0.7500 0.6268 1
Sb2 Sb 0.1214 0.7500 0.1880 1
Sb3 Sb 0.2118 0.7500 0.9111 1
Sb4 Sb 0.2882 0.2500 0.4111 1
Sb5 Sb 0.3786 0.2500 0.6880 1
Sb6 Sb 0.4201 0.2500 0.1268 1
Sb7 Sb 0.5799 0.7500 0.8732 1
Sb8 Sb 0.6214 0.7500 0.3120 1
Sb9 Sb 0.7118 0.7500 0.5889 1
Sb10 Sb 0.7882 0.2500 0.0889 1
Sb11 Sb 0.8786 0.2500 0.8120 1
Sb12 Sb 0.9201 0.2500 0.3732 1
```